Starting from a GGA-PBE-relaxed structure, the X-ray powder pattern of Li2PdPb was computed for a wavelength of 1.5418 Å.
Neutral-atom scattering factors, no anomalous dispersion.

Principal peaks in the range 2θ from 5° to 70°, low angle first:
| index | 2theta | I/Imax |
| --- | --- | --- |
| 1 1 1 | 23.63 | 100 |
| 2 0 0 | 27.35 | 9 |
| 2 2 0 | 39.07 | 86 |
| 3 1 1 | 46.17 | 52 |
| 2 2 2 | 48.35 | 3 |
| 4 0 0 | 56.44 | 15 |
| 3 3 1 | 62.03 | 22 |
| 4 2 0 | 63.83 | 4 |

```
Li2PdPb
1.0
6.522 0.000 0.000
0.000 6.522 0.000
0.000 0.000 6.522
Li Pd Pb
8 4 4
direct
0.000 0.000 0.000
0.000 0.500 0.500
0.250 0.250 0.250
0.250 0.750 0.750
0.500 0.000 0.500
0.500 0.500 0.000
0.750 0.250 0.750
0.750 0.750 0.250
0.250 0.250 0.750
0.250 0.750 0.250
0.750 0.250 0.250
0.750 0.750 0.750
0.000 0.000 0.500
0.000 0.500 0.000
0.500 0.000 0.000
0.500 0.500 0.500
```